Simulated X-ray powder pattern of Sr6Ca2Fe3Co5O24 for Cu Ka, from DFT lattice parameters and positions (PBE+U).
Lines closer than 0.1° are merged.

Largest 10 diffraction maxima, in order of falling intensity, 2θ = 5–70°:
| d [Å] | 2theta | I (rel.) |
| --- | --- | --- |
| 2.730 | 32.81 | 100 |
| 2.740 | 32.68 | 51 |
| 1.938 | 46.89 | 41 |
| 1.580 | 58.40 | 37 |
| 1.365 | 68.78 | 22 |
| 1.923 | 47.28 | 20 |
| 1.574 | 58.66 | 18 |
| 2.232 | 40.42 | 15 |
| 1.370 | 68.47 | 11 |
| 4.463 | 19.89 | 3 |

Atomic structure:
abc: 7.690 7.746 7.756
angles: 90.00 90.02 90.00
Element x y z (fractional)
1 Sr 0.247 0.000 0.250
2 Sr 0.247 0.000 0.751
3 Sr 0.247 0.500 0.751
4 Sr 0.753 0.000 0.249
5 Sr 0.753 0.000 0.750
6 Sr 0.753 0.500 0.249
7 Ca 0.247 0.501 0.249
8 Ca 0.753 0.501 0.751
9 Fe 0.500 0.251 0.000
10 Fe 0.500 0.749 0.000
11 Fe 0.500 0.749 0.500
12 Co 0.000 0.252 0.000
13 Co 0.000 0.252 0.500
14 Co 0.000 0.749 0.000
15 Co 0.000 0.749 0.500
16 Co 0.500 0.251 0.500
17 O 0.000 0.001 0.000
18 O 0.000 0.499 0.000
19 O 0.000 0.511 0.500
20 O 0.000 0.988 0.500
21 O 0.002 0.253 0.239
22 O 0.003 0.746 0.251
23 O 0.239 0.253 0.498
24 O 0.239 0.747 0.002
25 O 0.248 0.254 0.002
26 O 0.248 0.747 0.498
27 O 0.497 0.253 0.257
28 O 0.498 0.747 0.248
29 O 0.500 0.007 0.500
30 O 0.500 0.493 0.500
31 O 0.500 0.503 0.000
32 O 0.500 0.998 0.000
33 O 0.502 0.747 0.752
34 O 0.503 0.253 0.743
35 O 0.752 0.254 0.998
36 O 0.752 0.747 0.502
37 O 0.761 0.253 0.502
38 O 0.761 0.747 0.998
39 O 0.997 0.746 0.749
40 O 0.998 0.253 0.761

---

Simulated X-ray powder pattern of Sr7CaFe7CoO24 for Cu Ka, from DFT lattice parameters and positions (PBE+U).
Lines closer than 0.1° are merged.

Largest 10 diffraction maxima, in order of falling intensity, 2θ = 5–70°:
| d [Å] | 2theta | I (rel.) |
| --- | --- | --- |
| 2.757 | 32.48 | 100 |
| 1.950 | 46.59 | 40 |
| 1.592 | 57.94 | 37 |
| 1.379 | 68.01 | 22 |
| 2.251 | 40.05 | 12 |
| 5.514 | 16.07 | 1 |
| 7.798 | 11.35 | 1 |
| 3.487 | 25.54 | 1 |
| 3.184 | 28.03 | 1 |
| 2.599 | 34.50 | 1 |

Atomic structure:
abc: 7.798 7.798 7.798
angles: 90.01 90.01 90.01
Element x y z (fractional)
1 Sr 0.000 0.000 0.000
2 Sr 0.000 0.000 0.497
3 Sr 0.000 0.497 0.000
4 Sr 0.000 0.497 0.497
5 Sr 0.497 0.000 0.000
6 Sr 0.497 0.000 0.497
7 Sr 0.497 0.497 0.000
8 Ca 0.498 0.498 0.498
9 Fe 0.249 0.249 0.748
10 Fe 0.249 0.748 0.249
11 Fe 0.249 0.748 0.748
12 Fe 0.748 0.249 0.249
13 Fe 0.748 0.249 0.748
14 Fe 0.748 0.748 0.249
15 Fe 0.748 0.748 0.748
16 Co 0.249 0.249 0.249
17 O 0.000 0.749 0.749
18 O 0.003 0.249 0.249
19 O 0.249 0.003 0.249
20 O 0.249 0.249 0.003
21 O 0.249 0.749 0.998
22 O 0.249 0.998 0.749
23 O 0.251 0.251 0.495
24 O 0.251 0.495 0.251
25 O 0.251 0.500 0.747
26 O 0.251 0.747 0.500
27 O 0.495 0.251 0.251
28 O 0.498 0.747 0.747
29 O 0.500 0.251 0.747
30 O 0.500 0.747 0.251
31 O 0.747 0.251 0.500
32 O 0.747 0.498 0.747
33 O 0.747 0.500 0.251
34 O 0.747 0.747 0.498
35 O 0.749 0.000 0.749
36 O 0.749 0.249 0.998
37 O 0.749 0.749 0.000
38 O 0.749 0.998 0.249
39 O 0.998 0.249 0.749
40 O 0.998 0.749 0.249